Diffraction record for Li4MnCo2O7. The PXRD pattern is calculated, not measured: it uses a crystal structure in the Materials Project, relaxed with PBE+U and λ = 1.5418 Å (Cu Kα).
Neutral-atom scattering factors, no anomalous dispersion.

Top 12 peaks for 2θ from 10° to 80°, by angle:
11.65°, 7.598 Å, rel. 6, (2 0 -1)
18.28°, 4.854 Å, rel. 100, (2 0 1)
35.60°, 2.522 Å, rel. 14, (4 0 -5)
36.14°, 2.486 Å, rel. 25, (3 1 -2)
37.67°, 2.388 Å, rel. 7, (1 1 -3)
43.07°, 2.100 Å, rel. 27, (2 0 -6)
43.72°, 2.071 Å, rel. 56, (5 1 -1)
47.56°, 1.912 Å, rel. 13, (1 1 4)
57.52°, 1.602 Å, rel. 10, (7 1 0)
62.85°, 1.479 Å, rel. 22, (3 1 5)
63.26°, 1.470 Å, rel. 14, (7 1 -7)
64.18°, 1.451 Å, rel. 8, (0 2 0)

a = 15.324 Å, b = 2.902 Å, c = 12.919 Å
α = 90.00°, β = 118.63°, γ = 90.00°
Space group Cm (No. 8)
Inequivalent atoms, fractional coordinates:
Li1 0.000 0.000 0.000 (multiplicity 2)
Li2 0.001 0.500 0.499 (multiplicity 2)
Li3 0.074 0.500 0.852 (multiplicity 2)
Li4 0.144 0.000 0.700 (multiplicity 2)
Li5 0.213 0.500 0.568 (multiplicity 2)
Li6 0.294 0.000 0.432 (multiplicity 2)
Li7 0.367 0.500 0.300 (multiplicity 2)
Li8 0.440 0.000 0.150 (multiplicity 2)
Mn1 0.218 0.000 0.071 (multiplicity 2)
Mn2 0.432 0.500 0.635 (multiplicity 2)
Co1 0.073 0.000 0.376 (multiplicity 2)
Co2 0.143 0.500 0.219 (multiplicity 2)
Co3 0.290 0.500 0.926 (multiplicity 2)
Co4 0.362 0.000 0.786 (multiplicity 2)
O1 0.027 0.500 0.675 (multiplicity 2)
O2 0.048 0.000 0.179 (multiplicity 2)
O3 0.112 0.000 0.531 (multiplicity 2)
O4 0.123 0.500 0.040 (multiplicity 2)
O5 0.171 0.500 0.384 (multiplicity 2)
O6 0.189 0.000 0.906 (multiplicity 2)
O7 0.244 0.000 0.236 (multiplicity 2)
O8 0.261 0.500 0.754 (multiplicity 2)
O9 0.313 0.500 0.101 (multiplicity 2)
O10 0.338 0.000 0.614 (multiplicity 2)
O11 0.393 0.000 0.958 (multiplicity 2)
O12 0.397 0.500 0.478 (multiplicity 2)
O13 0.459 0.500 0.809 (multiplicity 2)
O14 0.475 0.000 0.322 (multiplicity 2)


Diffraction record for Li7Mn2Co3O12. The PXRD pattern is calculated, not measured: it uses a crystal structure in the Materials Project, relaxed with PBE+U and λ = 1.5418 Å (Cu Kα).
Neutral-atom scattering factors, no anomalous dispersion.

Top 12 peaks for 2θ from 10° to 80°, by angle:
13.60°, 6.510 Å, rel. 11, (1 1 0)
18.35°, 4.834 Å, rel. 100, (2 0 0)
36.02°, 2.494 Å, rel. 27, (1 3 -1)
36.30°, 2.475 Å, rel. 13, (0 0 2)
43.69°, 2.072 Å, rel. 57, (3 3 -1)
43.70°, 2.071 Å, rel. 28, (2 0 2)
47.54°, 1.913 Å, rel. 8, (3 3 1)
57.61°, 1.600 Å, rel. 9, (5 3 -1)
62.90°, 1.477 Å, rel. 15, (5 3 1)
63.36°, 1.468 Å, rel. 8, (0 6 0)
63.62°, 1.462 Å, rel. 8, (6 0 -2)
64.11°, 1.453 Å, rel. 15, (1 3 -3)

a = 9.796 Å, b = 8.807 Å, c = 5.015 Å
α = 90.00°, β = 99.29°, γ = 90.00°
Space group C2/m (No. 12)
Inequivalent atoms, fractional coordinates:
Li1 0.000 0.000 0.000 (multiplicity 2)
Li2 0.244 0.000 0.753 (multiplicity 4)
Li3 0.245 0.163 0.247 (multiplicity 8)
Mn1 0.000 0.330 0.000 (multiplicity 4)
Co1 0.000 0.157 0.500 (multiplicity 4)
Co2 0.000 0.500 0.500 (multiplicity 2)
O1 0.111 0.337 0.355 (multiplicity 8)
O2 0.111 0.500 0.880 (multiplicity 4)
O3 0.113 0.182 0.865 (multiplicity 8)
O4 0.124 0.000 0.395 (multiplicity 4)


Diffraction record for Li7Mn2Co3O12. The PXRD pattern is calculated, not measured: it uses a crystal structure in the Materials Project, relaxed with PBE+U and λ = 1.5418 Å (Cu Kα).
Neutral-atom scattering factors, no anomalous dispersion.

Top 12 peaks for 2θ from 10° to 80°, by angle:
11.71°, 7.559 Å, rel. 12, (0 1 0)
18.28°, 4.853 Å, rel. 100, (0 0 2)
34.04°, 2.634 Å, rel. 20, (1 1 0)
36.34°, 2.472 Å, rel. 23, (-1 2 1)
37.36°, 2.407 Å, rel. 7, (0 3 1)
40.81°, 2.211 Å, rel. 37, (1 1 2)
44.22°, 2.048 Å, rel. 28, (-1 2 3)
44.45°, 2.038 Å, rel. 27, (0 3 -3)
61.74°, 1.502 Å, rel. 26, (-2 1 1)
62.07°, 1.495 Å, rel. 8, (1 -2 5)
63.98°, 1.455 Å, rel. 7, (1 1 -6)
65.01°, 1.435 Å, rel. 7, (1 -5 0)

a = 3.016 Å, b = 7.646 Å, c = 9.772 Å
α = 91.99°, β = 95.95°, γ = 98.16°
Space group P-1 (No. 2)
Inequivalent atoms, fractional coordinates:
Li1 0.000 0.000 0.000 (multiplicity 1)
Li2 0.085 0.417 0.752 (multiplicity 2)
Li3 0.240 0.251 0.245 (multiplicity 2)
Li4 0.421 0.084 0.758 (multiplicity 2)
Mn1 0.160 0.832 0.497 (multiplicity 2)
Co1 0.344 0.677 0.002 (multiplicity 2)
Co2 0.500 0.500 0.500 (multiplicity 1)
O1 0.029 0.220 0.885 (multiplicity 2)
O2 0.132 0.624 0.615 (multiplicity 2)
O3 0.182 0.040 0.382 (multiplicity 2)
O4 0.311 0.468 0.107 (multiplicity 2)
O5 0.364 0.846 0.885 (multiplicity 2)
O6 0.482 0.289 0.618 (multiplicity 2)


Diffraction record for Li4MnCo2O7. The PXRD pattern is calculated, not measured: it uses a crystal structure in the Materials Project, relaxed with PBE+U and λ = 1.5418 Å (Cu Kα).
Neutral-atom scattering factors, no anomalous dispersion.

Top 12 peaks for 2θ from 10° to 80°, by angle:
18.31°, 4.846 Å, rel. 100, (0 1 -1)
35.58°, 2.523 Å, rel. 14, (-1 1 3)
35.90°, 2.501 Å, rel. 14, (2 -1 0)
36.35°, 2.472 Å, rel. 12, (1 1 2)
37.56°, 2.395 Å, rel. 11, (-1 2 2)
42.92°, 2.107 Å, rel. 29, (1 0 -4)
43.40°, 2.085 Å, rel. 29, (2 -2 1)
44.20°, 2.049 Å, rel. 26, (1 2 1)
62.37°, 1.489 Å, rel. 8, (1 -2 5)
63.01°, 1.475 Å, rel. 8, (-3 2 3)
63.06°, 1.474 Å, rel. 7, (2 2 -3)
64.04°, 1.454 Å, rel. 7, (3 0 2)

a = 5.075 Å, b = 5.877 Å, c = 8.922 Å
α = 90.95°, β = 96.10°, γ = 107.44°
Space group P-1 (No. 2)
Inequivalent atoms, fractional coordinates:
Li1 0.000 0.000 0.000 (multiplicity 1)
Li2 0.000 0.500 0.000 (multiplicity 1)
Li3 0.143 0.289 0.271 (multiplicity 2)
Li4 0.285 0.571 0.576 (multiplicity 2)
Li5 0.423 0.852 0.859 (multiplicity 2)
Mn1 0.142 0.784 0.280 (multiplicity 2)
Co1 0.287 0.072 0.572 (multiplicity 2)
Co2 0.439 0.368 0.862 (multiplicity 2)
O1 0.014 0.771 0.487 (multiplicity 2)
O2 0.128 0.511 0.779 (multiplicity 2)
O3 0.134 0.056 0.780 (multiplicity 2)
O4 0.287 0.821 0.092 (multiplicity 2)
O5 0.311 0.337 0.072 (multiplicity 2)
O6 0.420 0.088 0.362 (multiplicity 2)
O7 0.423 0.630 0.355 (multiplicity 2)


Diffraction record for Li3MnCoO5. The PXRD pattern is calculated, not measured: it uses a crystal structure in the Materials Project, relaxed with PBE+U and λ = 1.5418 Å (Cu Kα).
Neutral-atom scattering factors, no anomalous dispersion.

Top 12 peaks for 2θ from 10° to 80°, by angle:
12.23°, 7.235 Å, rel. 13, (0 2 0)
18.45°, 4.808 Å, rel. 100, (0 0 1)
19.62°, 4.525 Å, rel. 11, (1 1 0)
35.64°, 2.519 Å, rel. 14, (2 0 -1)
36.32°, 2.474 Å, rel. 24, (1 5 0)
37.73°, 2.384 Å, rel. 9, (2 0 0)
42.95°, 2.106 Å, rel. 31, (2 0 -2)
44.15°, 2.051 Å, rel. 57, (1 5 1)
47.65°, 1.908 Å, rel. 8, (1 5 -2)
58.23°, 1.584 Å, rel. 10, (1 5 2)
63.04°, 1.475 Å, rel. 16, (1 5 -3)
63.53°, 1.464 Å, rel. 16, (3 5 -1)

a = 5.095 Å, b = 14.471 Å, c = 5.142 Å
α = 90.00°, β = 110.76°, γ = 90.00°
Space group C2 (No. 5)
Inequivalent atoms, fractional coordinates:
Li1 0.000 0.000 0.000 (multiplicity 2)
Li2 0.000 0.096 0.500 (multiplicity 2)
Li3 0.000 0.302 0.500 (multiplicity 2)
Li4 0.000 0.501 0.500 (multiplicity 2)
Li5 0.000 0.699 0.500 (multiplicity 2)
Li6 0.000 0.903 0.500 (multiplicity 2)
Mn1 0.000 0.198 0.000 (multiplicity 2)
Mn2 0.000 0.399 0.000 (multiplicity 2)
Co1 0.000 0.596 0.000 (multiplicity 2)
Co2 0.000 0.802 0.000 (multiplicity 2)
O1 0.220 0.496 0.236 (multiplicity 4)
O2 0.227 0.300 0.233 (multiplicity 4)
O3 0.242 0.109 0.233 (multiplicity 4)
O4 0.248 0.394 0.787 (multiplicity 4)
O5 0.249 0.702 0.212 (multiplicity 4)


Diffraction record for Li3MnCoO5. The PXRD pattern is calculated, not measured: it uses a crystal structure in the Materials Project, relaxed with PBE+U and λ = 1.5418 Å (Cu Kα).
Neutral-atom scattering factors, no anomalous dispersion.

Top 12 peaks for 2θ from 10° to 80°, by angle:
12.27°, 7.213 Å, rel. 12, (0 2 0)
18.32°, 4.843 Å, rel. 100, (0 0 1)
19.47°, 4.558 Å, rel. 10, (1 1 0)
22.10°, 4.022 Å, rel. 11, (0 2 1)
35.69°, 2.516 Å, rel. 16, (2 0 -1)
36.32°, 2.473 Å, rel. 25, (1 5 0)
43.18°, 2.095 Å, rel. 31, (2 0 -2)
43.90°, 2.062 Å, rel. 58, (1 5 1)
47.79°, 1.903 Å, rel. 8, (1 5 -2)
57.72°, 1.597 Å, rel. 10, (1 5 2)
63.06°, 1.474 Å, rel. 25, (2 0 2)
63.48°, 1.465 Å, rel. 16, (3 5 -1)

a = 5.104 Å, b = 14.426 Å, c = 5.144 Å
α = 90.00°, β = 109.72°, γ = 90.00°
Space group C2/m (No. 12)
Inequivalent atoms, fractional coordinates:
Li1 0.000 0.000 0.000 (multiplicity 2)
Li2 0.000 0.098 0.500 (multiplicity 4)
Li3 0.000 0.301 0.500 (multiplicity 4)
Li4 0.000 0.500 0.500 (multiplicity 2)
Mn1 0.000 0.401 0.000 (multiplicity 4)
Co1 0.000 0.194 0.000 (multiplicity 4)
O1 0.218 0.500 0.227 (multiplicity 4)
O2 0.237 0.305 0.227 (multiplicity 8)
O3 0.239 0.395 0.774 (multiplicity 8)


Diffraction record for Li7Mn2Co3O12. The PXRD pattern is calculated, not measured: it uses a crystal structure in the Materials Project, relaxed with PBE+U and λ = 1.5418 Å (Cu Kα).
Neutral-atom scattering factors, no anomalous dispersion.

Top 12 peaks for 2θ from 10° to 80°, by angle:
18.29°, 4.850 Å, rel. 100, (0 1 1)
18.53°, 4.787 Å, rel. 7, (0 0 3)
34.06°, 2.632 Å, rel. 21, (1 0 3)
36.05°, 2.492 Å, rel. 12, (1 0 -3)
36.80°, 2.442 Å, rel. 13, (0 1 -5)
40.92°, 2.206 Å, rel. 37, (1 1 4)
43.84°, 2.065 Å, rel. 28, (-1 1 4)
44.91°, 2.019 Å, rel. 25, (0 2 -4)
61.22°, 1.514 Å, rel. 9, (2 0 0)
61.80°, 1.501 Å, rel. 9, (0 2 8)
62.36°, 1.489 Å, rel. 16, (1 3 0)
63.87°, 1.457 Å, rel. 7, (1 -3 0)

a = 3.035 Å, b = 5.066 Å, c = 14.410 Å
α = 86.93°, β = 86.44°, γ = 88.38°
Space group P-1 (No. 2)
Inequivalent atoms, fractional coordinates:
Li1 0.000 0.000 0.000 (multiplicity 1)
Li2 0.000 0.000 0.500 (multiplicity 1)
Li3 0.007 0.670 0.334 (multiplicity 2)
Li4 0.497 0.165 0.832 (multiplicity 2)
Li5 0.500 0.500 0.500 (multiplicity 1)
Mn1 0.004 0.670 0.831 (multiplicity 2)
Co1 0.490 0.838 0.658 (multiplicity 2)
Co2 0.500 0.500 0.000 (multiplicity 1)
O1 0.013 0.356 0.917 (multiplicity 2)
O2 0.024 0.982 0.748 (multiplicity 2)
O3 0.032 0.324 0.411 (multiplicity 2)
O4 0.462 0.186 0.082 (multiplicity 2)
O5 0.475 0.533 0.745 (multiplicity 2)
O6 0.499 0.866 0.408 (multiplicity 2)


Diffraction record for Li4MnCo2O7. The PXRD pattern is calculated, not measured: it uses a crystal structure in the Materials Project, relaxed with PBE+U and λ = 1.5418 Å (Cu Kα).
Neutral-atom scattering factors, no anomalous dispersion.

Top 12 peaks for 2θ from 10° to 80°, by angle:
18.40°, 4.823 Å, rel. 100, (0 1 2)
34.53°, 2.597 Å, rel. 18, (1 1 -1)
36.71°, 2.448 Å, rel. 23, (1 -1 2)
37.28°, 2.412 Å, rel. 8, (0 2 4)
41.45°, 2.179 Å, rel. 34, (1 2 1)
44.61°, 2.031 Å, rel. 26, (1 -2 0)
44.75°, 2.025 Å, rel. 25, (0 0 7)
62.45°, 1.487 Å, rel. 16, (0 4 1)
62.63°, 1.483 Å, rel. 8, (2 0 1)
62.77°, 1.480 Å, rel. 8, (1 2 8)
64.32°, 1.448 Å, rel. 7, (-1 2 7)
65.75°, 1.420 Å, rel. 7, (1 -2 7)

a = 2.974 Å, b = 5.967 Å, c = 14.336 Å
α = 83.02°, β = 84.56°, γ = 86.00°
Space group P1 (No. 1)
Inequivalent atoms, fractional coordinates:
Li1 0.000 0.000 0.000 (multiplicity 1)
Li2 0.012 0.520 0.000 (multiplicity 1)
Li3 0.146 0.078 0.721 (multiplicity 1)
Li4 0.292 0.653 0.436 (multiplicity 1)
Li5 0.441 0.217 0.140 (multiplicity 1)
Li6 0.574 0.798 0.868 (multiplicity 1)
Li7 0.720 0.365 0.577 (multiplicity 1)
Li8 0.861 0.934 0.292 (multiplicity 1)
Mn1 0.442 0.732 0.142 (multiplicity 1)
Mn2 0.869 0.436 0.293 (multiplicity 1)
Co1 0.150 0.580 0.721 (multiplicity 1)
Co2 0.290 0.147 0.435 (multiplicity 1)
Co3 0.570 0.284 0.867 (multiplicity 1)
Co4 0.720 0.863 0.578 (multiplicity 1)
O1 0.048 0.065 0.860 (multiplicity 1)
O2 0.106 0.532 0.854 (multiplicity 1)
O3 0.189 0.623 0.584 (multiplicity 1)
O4 0.250 0.102 0.571 (multiplicity 1)
O5 0.333 0.191 0.297 (multiplicity 1)
O6 0.402 0.679 0.285 (multiplicity 1)
O7 0.496 0.754 0.014 (multiplicity 1)
O8 0.515 0.266 0.990 (multiplicity 1)
O9 0.616 0.341 0.730 (multiplicity 1)
O10 0.678 0.817 0.712 (multiplicity 1)
O11 0.761 0.910 0.442 (multiplicity 1)
O12 0.821 0.387 0.431 (multiplicity 1)
O13 0.915 0.944 0.147 (multiplicity 1)
O14 0.959 0.499 0.152 (multiplicity 1)


Diffraction record for Li4MnCo2O7. The PXRD pattern is calculated, not measured: it uses a crystal structure in the Materials Project, relaxed with PBE+U and λ = 1.5418 Å (Cu Kα).
Neutral-atom scattering factors, no anomalous dispersion.

Top 12 peaks for 2θ from 10° to 80°, by angle:
10.20°, 8.670 Å, rel. 12, (0 0 1)
18.41°, 4.819 Å, rel. 100, (0 2 -1)
33.91°, 2.643 Å, rel. 23, (1 0 -2)
36.67°, 2.450 Å, rel. 12, (1 -1 2)
37.10°, 2.423 Å, rel. 11, (0 1 3)
37.83°, 2.378 Å, rel. 7, (1 1 1)
40.64°, 2.220 Å, rel. 37, (1 2 -3)
44.66°, 2.029 Å, rel. 26, (1 -3 3)
45.29°, 2.002 Å, rel. 25, (0 3 2)
61.67°, 1.504 Å, rel. 9, (2 -1 0)
62.28°, 1.491 Å, rel. 16, (0 5 -6)
62.61°, 1.484 Å, rel. 8, (1 5 -1)

a = 3.021 Å, b = 9.694 Å, c = 9.791 Å
α = 116.41°, β = 95.16°, γ = 95.68°
Space group P-1 (No. 2)
Inequivalent atoms, fractional coordinates:
Li1 0.000 0.000 0.000 (multiplicity 1)
Li2 0.063 0.139 0.783 (multiplicity 2)
Li3 0.215 0.427 0.357 (multiplicity 2)
Li4 0.363 0.723 0.929 (multiplicity 2)
Li5 0.500 0.000 0.500 (multiplicity 1)
Mn1 0.284 0.573 0.147 (multiplicity 2)
Co1 0.140 0.283 0.566 (multiplicity 2)
Co2 0.430 0.861 0.725 (multiplicity 2)
O1 0.028 0.086 0.395 (multiplicity 2)
O2 0.131 0.209 0.187 (multiplicity 2)
O3 0.152 0.365 0.968 (multiplicity 2)
O4 0.266 0.485 0.738 (multiplicity 2)
O5 0.301 0.663 0.545 (multiplicity 2)
O6 0.423 0.777 0.324 (multiplicity 2)
O7 0.471 0.948 0.128 (multiplicity 2)


Diffraction record for Li7Mn2Co3O12. The PXRD pattern is calculated, not measured: it uses a crystal structure in the Materials Project, relaxed with PBE+U and λ = 1.5418 Å (Cu Kα).
Neutral-atom scattering factors, no anomalous dispersion.

Top 12 peaks for 2θ from 10° to 80°, by angle:
11.78°, 7.514 Å, rel. 8, (2 0 0)
18.19°, 4.877 Å, rel. 100, (0 0 2)
35.85°, 2.505 Å, rel. 15, (6 0 0)
36.15°, 2.485 Å, rel. 25, (3 1 -1)
43.42°, 2.084 Å, rel. 27, (6 0 2)
43.56°, 2.077 Å, rel. 56, (3 1 -3)
47.67°, 1.908 Å, rel. 8, (3 1 3)
57.18°, 1.611 Å, rel. 14, (3 1 -5)
62.40°, 1.488 Å, rel. 7, (6 0 -6)
62.85°, 1.479 Å, rel. 15, (3 1 5)
63.54°, 1.464 Å, rel. 14, (9 1 -1)
64.21°, 1.451 Å, rel. 8, (0 2 0)

a = 15.265 Å, b = 2.901 Å, c = 9.908 Å
α = 90.00°, β = 100.11°, γ = 90.00°
Space group Cm (No. 8)
Inequivalent atoms, fractional coordinates:
Li1 0.000 0.000 0.000 (multiplicity 2)
Li2 0.006 0.500 0.513 (multiplicity 2)
Li3 0.169 0.500 0.997 (multiplicity 2)
Li4 0.176 0.000 0.526 (multiplicity 2)
Li5 0.253 0.500 0.759 (multiplicity 2)
Li6 0.332 0.000 0.985 (multiplicity 2)
Li7 0.338 0.500 0.514 (multiplicity 2)
Mn1 0.090 0.000 0.760 (multiplicity 2)
Mn2 0.253 0.000 0.254 (multiplicity 2)
Co1 0.083 0.500 0.262 (multiplicity 2)
Co2 0.407 0.000 0.748 (multiplicity 2)
Co3 0.422 0.500 0.253 (multiplicity 2)
O1 0.048 0.500 0.867 (multiplicity 2)
O2 0.050 0.000 0.381 (multiplicity 2)
O3 0.123 0.500 0.647 (multiplicity 2)
O4 0.132 0.000 0.150 (multiplicity 2)
O5 0.202 0.000 0.873 (multiplicity 2)
O6 0.218 0.500 0.366 (multiplicity 2)
O7 0.286 0.500 0.142 (multiplicity 2)
O8 0.302 0.000 0.631 (multiplicity 2)
O9 0.373 0.000 0.359 (multiplicity 2)
O10 0.383 0.500 0.873 (multiplicity 2)
O11 0.464 0.000 0.141 (multiplicity 2)
O12 0.466 0.500 0.647 (multiplicity 2)